# ThMgTlBi
Theoretical powder diffractogram, Cu Kα. Input: DFT lattice parameters and positions (PBE).
Kinematic intensities with the Lorentz-polarization factor, no thermal factor.

Most intense lines, 2θ from 10° to 80°, low angle first:
2theta, Rel. int.
32.23, 100
35.19, 20
36.34, 18
40.47, 16
51.48, 14
54.68, 12
61.29, 16
62.81, 15
67.44, 12
68.42, 12

```
data_ThMgTlBi
_chemical_formula_sum 'Th1 Mg1 Tl1 Bi1'
_symmetry_space_group_name_H-M 'P m m m'
_symmetry_Int_Tables_number 47
_cell_length_a 4.4597
_cell_length_b 4.9446
_cell_length_c 5.1001
_cell_angle_alpha 90.00
_cell_angle_beta 90.00
_cell_angle_gamma 90.00
loop_
_symmetry_equiv_pos_as_xyz
'x,y,z'
'-x,-y,-z'
'-x,-y,z'
'x,y,-z'
'x,-y,-z'
'-x,y,z'
'-x,y,-z'
'x,-y,z'
loop_
_atom_site_label
_atom_site_type_symbol
_atom_site_fract_x
_atom_site_fract_y
_atom_site_fract_z
Th1 Th 0.0000 0.0000 0.0000
Mg1 Mg 0.0000 0.5000 0.5000
Tl1 Tl 0.5000 0.0000 0.5000
Bi1 Bi 0.5000 0.5000 0.0000
```

# Fe9B4Ir3
Theoretical powder diffractogram, Cu Kα. Input: DFT lattice parameters and positions (PBE).
Kinematic intensities with the Lorentz-polarization factor, no thermal factor.

Most intense lines, 2θ from 10° to 80°, low angle first:
2theta, Rel. int.
23.70, 56
25.82, 38
36.72, 96
40.97, 75
42.19, 82
43.86, 30
44.07, 67
45.86, 100
47.06, 28
54.60, 27

```
data_Fe9B4Ir3
_chemical_formula_sum 'Fe9 B4 Ir3'
_symmetry_space_group_name_H-M 'P 1 m 1'
_symmetry_Int_Tables_number 6
_cell_length_a 4.4617
_cell_length_b 6.9447
_cell_length_c 5.4425
_cell_angle_alpha 90.00
_cell_angle_beta 90.08
_cell_angle_gamma 90.00
loop_
_symmetry_equiv_pos_as_xyz
'x,y,z'
'x,-y,z'
loop_
_atom_site_label
_atom_site_type_symbol
_atom_site_fract_x
_atom_site_fract_y
_atom_site_fract_z
Fe1 Fe 0.0000 0.0000 0.0000
Fe2 Fe 0.0184 0.3049 0.7045
Fe3 Fe 0.2342 0.3057 0.2021
Fe4 Fe 0.5222 0.1852 0.8524
Fe5 Fe 0.7345 0.1888 0.3443
B1 B 0.2896 0.5000 0.9070
B2 B 0.4508 0.0000 0.1462
B3 B 0.7905 0.0000 0.6448
B4 B 0.9619 0.5000 0.4098
Ir1 Ir 0.2414 0.0000 0.4994
Ir2 Ir 0.5062 0.5000 0.5554
Ir3 Ir 0.7482 0.5000 0.0518
```

# CdIn2
Theoretical powder diffractogram, Cu Kα. Input: DFT lattice parameters and positions (PBE).
Kinematic intensities with the Lorentz-polarization factor, no thermal factor.

Most intense lines, 2θ from 10° to 80°, low angle first:
2theta, Rel. int.
33.08, 100
38.25, 16
38.45, 33
55.35, 22
55.51, 11
65.88, 12
66.16, 25
69.41, 11

```
data_CdIn2
_chemical_formula_sum 'Cd2 In4'
_symmetry_space_group_name_H-M 'I 4/m m m'
_symmetry_Int_Tables_number 139
_symmetry_space_group_name_Hall '-I 4 2'
_cell_length_a 3.3111
_cell_length_b 3.3111
_cell_length_c 14.1194
_cell_angle_alpha 90.00
_cell_angle_beta 90.00
_cell_angle_gamma 90.00
loop_
_atom_site_label
_atom_site_type_symbol
_atom_site_fract_x
_atom_site_fract_y
_atom_site_fract_z
Cd1 Cd 0.0000 0.0000 0.0000
In1 In 0.0000 0.0000 0.3381
```

# Rb4Ce3DyS8
Theoretical powder diffractogram, Cu Kα. Input: DFT lattice parameters and positions (PBE).
Kinematic intensities with the Lorentz-polarization factor, no thermal factor.

Most intense lines, 2θ from 10° to 80°, low angle first:
2theta, Rel. int.
11.52, 23
23.16, 22
25.64, 43
29.00, 100
39.90, 36
43.00, 34
46.65, 13
49.40, 18
52.70, 18
70.29, 19

```
data_Rb4Ce3DyS8
_chemical_formula_sum 'Rb12 Ce9 Dy3 S24'
_symmetry_space_group_name_H-M 'R -3 m'
_symmetry_Int_Tables_number 166
_symmetry_space_group_name_Hall '-R 3 2"'
_cell_length_a 8.4141
_cell_length_b 8.4141
_cell_length_c 23.0381
_cell_angle_alpha 90.00
_cell_angle_beta 90.00
_cell_angle_gamma 120.00
loop_
_atom_site_label
_atom_site_type_symbol
_atom_site_fract_x
_atom_site_fract_y
_atom_site_fract_z
Rb1 Rb 0.0000 0.0000 0.0000
Rb2 Rb 0.0000 0.5000 0.0000
Ce1 Ce 0.0000 0.5000 0.5000
Dy1 Dy 0.0000 0.0000 0.5000
S1 S 0.0000 0.0000 0.2322
S2 S 0.0075 0.5038 0.2313
```

# Cd5Ir3
Theoretical powder diffractogram, Cu Kα. Input: DFT lattice parameters and positions (PBE).
Kinematic intensities with the Lorentz-polarization factor, no thermal factor.

Most intense lines, 2θ from 10° to 80°, low angle first:
2theta, Rel. int.
26.27, 24
33.90, 28
37.49, 100
37.66, 46
38.47, 29
38.70, 46
39.01, 75
39.81, 92
41.33, 48
49.51, 20

```
data_Cd5Ir3
_chemical_formula_sum 'Cd20 Ir12'
_symmetry_space_group_name_H-M 'C 1 2/c 1'
_symmetry_Int_Tables_number 15
_cell_length_a 11.6044
_cell_length_b 10.7330
_cell_length_c 5.1764
_cell_angle_alpha 90.00
_cell_angle_beta 112.47
_cell_angle_gamma 90.00
loop_
_symmetry_equiv_pos_as_xyz
'x,y,z'
'-x,-y,-z'
'-x,y,-z+1/2'
'x,-y,z+1/2'
'x+1/2,y+1/2,z'
'-x+1/2,-y+1/2,-z'
'-x+1/2,y+1/2,-z+1/2'
'x+1/2,-y+1/2,z+1/2'
loop_
_atom_site_label
_atom_site_type_symbol
_atom_site_fract_x
_atom_site_fract_y
_atom_site_fract_z
Cd1 Cd 0.0000 0.0199 0.2500
Cd2 Cd 0.0772 0.2749 0.5586
Cd3 Cd 0.2310 0.4275 0.2583
Ir1 Ir 0.0000 0.4966 0.7500
Ir2 Ir 0.1710 0.1755 0.1165
```

# ZnMoSe4
Theoretical powder diffractogram, Cu Kα. Input: DFT lattice parameters and positions (PBE).
Kinematic intensities with the Lorentz-polarization factor, no thermal factor.

Most intense lines, 2θ from 10° to 80°, low angle first:
2theta, Rel. int.
19.09, 5
31.42, 29
37.03, 100
38.74, 38
55.94, 11
59.67, 32
65.58, 27
74.53, 4
77.78, 11
78.85, 14

```
data_ZnMoSe4
_chemical_formula_sum 'Zn4 Mo4 Se16'
_symmetry_space_group_name_H-M 'F -4 3 m'
_symmetry_Int_Tables_number 216
_symmetry_space_group_name_Hall 'F -4 2 3'
_cell_length_a 8.0523
_cell_length_b 8.0523
_cell_length_c 8.0523
_cell_angle_alpha 90.00
_cell_angle_beta 90.00
_cell_angle_gamma 90.00
loop_
_atom_site_label
_atom_site_type_symbol
_atom_site_fract_x
_atom_site_fract_y
_atom_site_fract_z
Zn1 Zn 0.0000 0.0000 0.0000
Mo1 Mo 0.2500 0.2500 0.7500
Se1 Se 0.1247 0.1247 0.3753
```